[1]
This entry pairs a crystal structure of Th2Ta3Ge4 with its simulated X-ray diffraction stick pattern. Radiation: Cu Kα, 1.54184 Å. Structure: the PBE geometry in Alexandria.

Atomic structure:
a = 7.2944 Å, b = 7.2909 Å, c = 7.2226 Å
α = 90.00°, β = 109.82°, γ = 90.00°
Positions (direct):
Th (0.1887, 0.1723, 0.0563)
Th (0.1887, 0.3277, 0.5563)
Th (0.8113, 0.6723, 0.4437)
Th (0.8113, 0.8277, 0.9437)
Ta (0.2535, 0.6616, 0.2472)
Ta (0.2535, 0.8384, 0.7472)
Ta (0.5000, 0.0000, 0.5000)
Ta (0.5000, 0.5000, 0.0000)
Ta (0.7465, 0.1616, 0.2528)
Ta (0.7465, 0.3384, 0.7528)
Ge (0.0922, 0.5485, 0.8584)
Ge (0.0922, 0.9515, 0.3584)
Ge (0.4947, 0.6346, 0.6317)
Ge (0.4947, 0.8654, 0.1317)
Ge (0.5053, 0.1346, 0.8683)
Ge (0.5053, 0.3654, 0.3683)
Ge (0.9078, 0.0485, 0.6416)
Ge (0.9078, 0.4515, 0.1416)

The 10 most intense peaks (2θ from 10° to 80°), low angle first:
| two_theta | I_rel |
| --- | --- |
| 27.87 | 16.3 |
| 28.74 | 17.1 |
| 32.59 | 40.2 |
| 35.07 | 56.0 |
| 35.25 | 34.3 |
| 35.43 | 52.8 |
| 35.94 | 22.0 |
| 39.38 | 100.0 |
| 56.64 | 16.8 |
| 60.35 | 24.0 |

***

[2]
This entry pairs a crystal structure of Rb3Pd3RuO8 with its simulated X-ray diffraction stick pattern. Radiation: Cu Kα, 1.54184 Å. Structure: the PBE geometry in Alexandria.

Atomic structure:
a = 7.1902 Å, b = 7.1902 Å, c = 7.0213 Å
α = 115.02°, β = 115.02°, γ = 51.01°
Positions (direct):
Rb (0.0000, 0.0000, 0.0000)
Rb (0.0000, 0.5000, 0.0000)
Rb (0.5000, 0.0000, 0.0000)
Pd (0.0000, 0.5000, 0.5000)
Pd (0.5000, 0.0000, 0.5000)
Pd (0.5000, 0.5000, 0.5000)
Ru (0.0000, 0.0000, 0.5000)
O (0.1759, 0.1759, 0.5895)
O (0.2178, 0.7348, 0.3018)
O (0.2652, 0.7822, 0.6982)
O (0.3156, 0.3156, 0.3978)
O (0.6844, 0.6844, 0.6022)
O (0.7348, 0.2178, 0.3018)
O (0.7822, 0.2652, 0.6982)
O (0.8241, 0.8241, 0.4105)

The 10 most intense peaks (2θ from 10° to 80°), low angle first:
| two_theta | I_rel |
| --- | --- |
| 14.28 | 69.1 |
| 28.79 | 86.7 |
| 31.01 | 57.9 |
| 31.20 | 85.3 |
| 32.88 | 97.1 |
| 38.84 | 100.0 |
| 49.19 | 41.0 |
| 52.06 | 41.5 |
| 56.60 | 28.0 |
| 61.91 | 23.9 |

***

[3]
This entry pairs a crystal structure of In8Cu7Se16 with its simulated X-ray diffraction stick pattern. Radiation: Cu Kα, 1.54184 Å. Structure: the PBE geometry in Alexandria.

Atomic structure:
a = 10.9447 Å, b = 10.9447 Å, c = 8.2485 Å
α = 112.11°, β = 112.11°, γ = 65.11°
Positions (direct):
In (0.0000, 0.0000, 0.0000)
In (0.1261, 0.6211, 0.1193)
In (0.2494, 0.2564, 0.7512)
In (0.3789, 0.8739, 0.8807)
In (0.5078, 0.4922, 0.5000)
In (0.6258, 0.1301, 0.6258)
In (0.7436, 0.7506, 0.2488)
In (0.8699, 0.3742, 0.3742)
Cu (0.0013, 0.9987, 0.5000)
Cu (0.1276, 0.6206, 0.6317)
Cu (0.2506, 0.2511, 0.2507)
Cu (0.3794, 0.8724, 0.3683)
Cu (0.6260, 0.1326, 0.1306)
Cu (0.7489, 0.7494, 0.7493)
Cu (0.8674, 0.3740, 0.8694)
Se (0.0073, 0.2591, 0.1174)
Se (0.1187, 0.8653, 0.7264)
Se (0.1347, 0.8813, 0.2736)
Se (0.2434, 0.4934, 0.3851)
Se (0.2667, 0.5078, 0.8739)
Se (0.3679, 0.1164, 0.4764)
Se (0.3838, 0.1341, 0.0233)
Se (0.4922, 0.7333, 0.1261)
Se (0.5066, 0.7566, 0.6149)
Se (0.6131, 0.3737, 0.2188)
Se (0.6263, 0.3869, 0.7812)
Se (0.7409, 0.9927, 0.8826)
Se (0.7587, 0.0070, 0.3658)
Se (0.8659, 0.6162, 0.9767)
Se (0.8836, 0.6321, 0.5236)
Se (0.9930, 0.2413, 0.6342)

The 10 most intense peaks (2θ from 10° to 80°), low angle first:
| two_theta | I_rel |
| --- | --- |
| 26.38 | 100.0 |
| 27.38 | 5.1 |
| 35.23 | 7.1 |
| 43.68 | 48.6 |
| 43.89 | 23.0 |
| 51.56 | 15.0 |
| 51.94 | 27.3 |
| 63.81 | 6.7 |
| 69.98 | 10.7 |
| 70.29 | 4.9 |